For FeS2NO8, a GGA+U-relaxed structure gives the theoretical powder diffraction line list in this record (Cu Kα).
Lines closer than 0.1° are merged.

```
data_FeS2NO8
_chemical_formula_sum 'Fe2 S4 N2 O16'
_symmetry_space_group_name_H-M 'P 63'
_symmetry_Int_Tables_number 173
_cell_length_a 4.9477
_cell_length_b 4.9477
_cell_length_c 16.3504
_cell_angle_alpha 90.00
_cell_angle_beta 90.00
_cell_angle_gamma 120.00
loop_
_symmetry_equiv_pos_as_xyz
'x,y,z'
'x-y,x,z+1/2'
'-y,x-y,z'
'-x,-y,z+1/2'
'-x+y,-x,z'
'y,-x+y,z+1/2'
loop_
_atom_site_label
_atom_site_type_symbol
_atom_site_fract_x
_atom_site_fract_y
_atom_site_fract_z
Fe1 Fe 0.3333 0.6667 0.0000
S1 S 0.0000 0.0000 0.3961
S2 S 0.3333 0.6667 0.6035
N1 N 0.3333 0.6667 0.2560
O1 O 0.0000 0.0000 0.3067
O2 O 0.0275 0.6161 0.5721
O3 O 0.0518 0.7455 0.9271
O4 O 0.3333 0.6667 0.6927
```

Peak list (6 most intense, 10° ≤ 2θ ≤ 80°, in order of falling intensity)
| 2θ (°) | intensity |
| --- | --- |
| 10.82 | 100 |
| 23.44 | 73 |
| 26.46 | 56 |
| 36.31 | 25 |
| 30.22 | 14 |
| 34.50 | 14 |